For LiV4O10, a cell relaxed with PBE+U gives the calculated powder X-ray diffraction pattern in this record (Cu Kα).
Neutral-atom scattering factors, no anomalous dispersion.

Structure:
Cell lengths 5.8731, 6.7575, 7.6027 Å; angles 97.59, 112.61, 105.82 degrees
Element x y z (fractional)
Li  0.0000  0.0000  0.0000
V  0.2770  0.3195  0.4463
V  0.4915  0.8817  0.5166
V  0.6350  0.1580  0.2423
V  0.8526  0.7289  0.3002
O  0.1702  0.8481  0.5102
O  0.2008  0.3069  0.6286
O  0.3708  0.0649  0.0290
O  0.4269  0.5970  0.4651
O  0.4847  0.1578  0.4386
O  0.6574  0.8916  0.3360
O  0.7167  0.9769  0.7448
O  0.7275  0.4671  0.2970
O  0.8915  0.7466  0.0987
O  0.9770  0.1987  0.2285

Largest 6 diffraction maxima, in order of rising 2θ, 2θ from 10° to 90°:
d_spacing	Rel. int.	hkl
6.764	100	0 0 1
6.266	11	0 1 0
3.654	14	1 0 -2
3.400	22	1 0 1
3.185	17	0 2 -1
2.892	11	-2 1 1